(1)
This entry pairs a crystal structure of MgSn5 with its simulated powder diffractogram. Radiation: copper Kα. Structure: a cell relaxed with GGA-PBE.
Peak positions follow from Bragg's law for the DFT cell and can differ from measured ones.

Crystal structure
a = 5.490 Å, b = 9.371 Å, c = 6.236 Å
α = 90.00°, β = 90.03°, γ = 90.00°
Element x y z (fractional)
Mg  0.248  0.250  0.334
Mg  0.752  0.750  0.666
Sn  0.250  0.250  0.834
Sn  0.250  0.583  0.474
Sn  0.250  0.583  0.973
Sn  0.250  0.917  0.474
Sn  0.250  0.917  0.973
Sn  0.750  0.083  0.027
Sn  0.750  0.083  0.526
Sn  0.750  0.417  0.027
Sn  0.750  0.417  0.526
Sn  0.750  0.750  0.166

The 6 most intense peaks (2θ from 15° to 90°), sorted by position:
28.63°, 3.118 Å, I = 22
32.62°, 2.745 Å, I = 43
33.00°, 2.714 Å, I = 100
34.43°, 2.605 Å, I = 33
44.23°, 2.048 Å, I = 28
58.45°, 1.579 Å, I = 20

=====

(2)
This entry pairs a crystal structure of RbMn2CuBr8 with its simulated powder diffractogram. Radiation: copper Kα. Structure: a cell relaxed with GGA-PBE.
Peak positions follow from Bragg's law for the DFT cell and can differ from measured ones.

Crystal structure
a = 6.859 Å, b = 6.859 Å, c = 9.527 Å
α = 90.00°, β = 90.00°, γ = 120.00°
Element x y z (fractional)
Rb  0.000  0.000  0.000
Mn  0.333  0.667  0.731
Mn  0.667  0.333  0.269
Cu  0.000  0.000  0.500
Br  0.010  0.310  0.662
Br  0.299  0.990  0.662
Br  0.310  0.299  0.338
Br  0.333  0.667  0.981
Br  0.667  0.333  0.019
Br  0.690  0.701  0.662
Br  0.701  0.010  0.338
Br  0.990  0.690  0.338

The 6 most intense peaks (2θ from 15° to 90°), sorted by position:
17.60°, 5.040 Å, I = 34
27.65°, 3.227 Å, I = 100
28.10°, 3.176 Å, I = 38
32.16°, 2.783 Å, I = 75
45.83°, 1.980 Å, I = 44
46.42°, 1.956 Å, I = 45

=====

(3)
This entry pairs a crystal structure of MgNbCr with its simulated powder diffractogram. Radiation: copper Kα. Structure: a cell relaxed with GGA-PBE.
Peak positions follow from Bragg's law for the DFT cell and can differ from measured ones.

Crystal structure
a = 2.865 Å, b = 4.252 Å, c = 8.422 Å
α = 90.00°, β = 98.53°, γ = 90.00°
Element x y z (fractional)
Mg  0.182  0.250  0.404
Mg  0.818  0.750  0.596
Nb  0.445  0.250  0.792
Nb  0.555  0.750  0.208
Cr  0.152  0.750  0.937
Cr  0.848  0.250  0.063

The 6 most intense peaks (2θ from 15° to 90°), sorted by position:
23.49°, 3.787 Å, I = 49
38.37°, 2.346 Å, I = 100
38.74°, 2.325 Å, I = 80
41.09°, 2.197 Å, I = 60
41.62°, 2.170 Å, I = 37
42.52°, 2.126 Å, I = 46

=====

(4)
This entry pairs a crystal structure of ZnH5Pd4 with its simulated powder diffractogram. Radiation: copper Kα. Structure: a cell relaxed with GGA-PBE.
Peak positions follow from Bragg's law for the DFT cell and can differ from measured ones.

Crystal structure
a = 5.551 Å, b = 8.143 Å, c = 4.360 Å
α = 90.00°, β = 90.00°, γ = 90.00°
Element x y z (fractional)
Zn  0.250  0.250  0.114
Zn  0.750  0.750  0.886
H  0.027  0.552  0.228
H  0.027  0.948  0.228
H  0.250  0.750  0.671
H  0.473  0.552  0.228
H  0.473  0.948  0.228
H  0.527  0.052  0.772
H  0.527  0.448  0.772
H  0.750  0.250  0.329
H  0.973  0.052  0.772
H  0.973  0.448  0.772
Pd  0.001  0.750  0.394
Pd  0.250  0.549  0.898
Pd  0.250  0.951  0.898
Pd  0.499  0.750  0.394
Pd  0.501  0.250  0.606
Pd  0.750  0.049  0.102
Pd  0.750  0.451  0.102
Pd  0.999  0.250  0.606

The 6 most intense peaks (2θ from 15° to 90°), sorted by position:
30.03°, 2.976 Å, I = 84
36.86°, 2.438 Å, I = 42
38.45°, 2.341 Å, I = 100
39.29°, 2.293 Å, I = 60
40.07°, 2.250 Å, I = 56
42.95°, 2.106 Å, I = 54

=====

Please write out number 2 again, unchanged.
This entry pairs a crystal structure of RbMn2CuBr8 with its simulated powder diffractogram. Radiation: copper Kα. Structure: a cell relaxed with GGA-PBE.
Peak positions follow from Bragg's law for the DFT cell and can differ from measured ones.

Crystal structure
a = 6.859 Å, b = 6.859 Å, c = 9.527 Å
α = 90.00°, β = 90.00°, γ = 120.00°
Element x y z (fractional)
Rb  0.000  0.000  0.000
Mn  0.333  0.667  0.731
Mn  0.667  0.333  0.269
Cu  0.000  0.000  0.500
Br  0.010  0.310  0.662
Br  0.299  0.990  0.662
Br  0.310  0.299  0.338
Br  0.333  0.667  0.981
Br  0.667  0.333  0.019
Br  0.690  0.701  0.662
Br  0.701  0.010  0.338
Br  0.990  0.690  0.338

The 6 most intense peaks (2θ from 15° to 90°), sorted by position:
17.60°, 5.040 Å, I = 34
27.65°, 3.227 Å, I = 100
28.10°, 3.176 Å, I = 38
32.16°, 2.783 Å, I = 75
45.83°, 1.980 Å, I = 44
46.42°, 1.956 Å, I = 45